1.
Diffraction record for Rb3NaNi2F9. The powder X-ray diffraction pattern is simulated, not measured: it uses a DFT-relaxed cell (GGA+U, Alexandria) and λ = 1.5418 Å (Cu Kα).

Peak list (10 most intense, 2θ from 10° to 80°, low angle first)
hkl  2theta  I/Imax
0 1 2  30.00  100.0
1 1 0  30.17  94.3
0 2 1  37.14  32.6
2 0 2  43.07  90.8
1 0 4  53.15  18.1
1 2 2  53.48  38.6
3 0 0  53.59  18.1
0 2 4  62.34  25.0
2 2 0  62.74  26.5
3 1 2  71.09  17.0

```
data_Rb3NaNi2F9
_chemical_formula_sum 'Rb3 Na1 Ni2 F9'
_cell_length_a 5.9242
_cell_length_b 5.9242
_cell_length_c 7.3176
_cell_angle_alpha 90.00
_cell_angle_beta 90.00
_cell_angle_gamma 120.00
_symmetry_space_group_name_H-M 'P -3 m 1'
_symmetry_Int_Tables_number 164
_symmetry_space_group_name_Hall '-P 3 2"'
loop_
_atom_site_label
_atom_site_type_symbol
_atom_site_fract_x
_atom_site_fract_y
_atom_site_fract_z
_atom_site_occupancy
Rb1 Rb 0.0000 0.0000 0.0000 1
Rb2 Rb 0.3333 0.6667 0.6559 1
Na1 Na 0.0000 0.0000 0.5000 1
Ni1 Ni 0.3333 0.6667 0.1576 1
F1 F 0.0000 0.5000 0.0000 1
F2 F 0.1783 0.3566 0.3097 1
```

***

2.
Diffraction record for Rb2NaNiF6. The powder X-ray diffraction pattern is simulated, not measured: it uses a DFT-relaxed cell (GGA+U, Alexandria) and λ = 1.5418 Å (Cu Kα).

Peak list (10 most intense, 2θ from 10° to 80°, low angle first)
hkl  2theta  I/Imax
1 1 1  18.07  15.5
2 0 0  20.90  3.6
2 2 0  29.72  100.0
2 2 2  36.62  28.5
4 0 0  42.54  49.3
4 2 2  52.75  37.6
4 4 0  61.72  28.3
6 2 0  69.99  18.4
6 2 2  73.96  7.7
4 4 4  77.84  8.7

```
data_Rb2NaNiF6
_chemical_formula_sum 'Rb8 Na4 Ni4 F24'
_cell_length_a 8.5014
_cell_length_b 8.5014
_cell_length_c 8.5014
_cell_angle_alpha 90.00
_cell_angle_beta 90.00
_cell_angle_gamma 90.00
_symmetry_space_group_name_H-M 'F m -3 m'
_symmetry_Int_Tables_number 225
_symmetry_space_group_name_Hall '-F 4 2 3'
loop_
_atom_site_label
_atom_site_type_symbol
_atom_site_fract_x
_atom_site_fract_y
_atom_site_fract_z
_atom_site_occupancy
Rb1 Rb 0.2500 0.2500 0.2500 1
Na1 Na 0.0000 0.0000 0.0000 1
Ni1 Ni 0.0000 0.0000 0.5000 1
F1 F 0.0000 0.0000 0.2729 1
```

***

3.
Diffraction record for NaNiRhF6. The powder X-ray diffraction pattern is simulated, not measured: it uses a DFT-relaxed cell (GGA+U, Alexandria) and λ = 1.5418 Å (Cu Kα).

Peak list (10 most intense, 2θ from 10° to 80°, low angle first)
hkl  2theta  I/Imax
0 0 2  18.42  17.9
1 0 1  20.47  47.0
1 1 0  25.93  100.0
1 1 2  31.99  12.8
1 0 3  33.44  57.0
1 1 3  38.36  16.5
2 1 3  50.72  67.6
2 2 0  53.32  19.9
1 1 6  64.00  13.9
3 0 3  64.42  24.4

```
data_NaNiRhF6
_chemical_formula_sum 'Na2 Ni2 Rh2 F12'
_cell_length_a 4.8600
_cell_length_b 4.8600
_cell_length_c 9.6346
_cell_angle_alpha 90.00
_cell_angle_beta 90.00
_cell_angle_gamma 90.00
_symmetry_space_group_name_H-M 'P 42 n m'
_symmetry_Int_Tables_number 102
_symmetry_space_group_name_Hall 'P 4n -2n'
loop_
_atom_site_label
_atom_site_type_symbol
_atom_site_fract_x
_atom_site_fract_y
_atom_site_fract_z
_atom_site_occupancy
Na1 Na 0.0000 0.0000 0.0000 1
Ni1 Ni 0.0000 0.0000 0.6692 1
Rh1 Rh 0.0000 0.0000 0.3323 1
F1 F 0.1804 0.1804 0.4979 1
F2 F 0.2031 0.2031 0.1792 1
F3 F 0.2065 0.2065 0.8234 1
```

***

4.
Diffraction record for NaTbNiF6. The powder X-ray diffraction pattern is simulated, not measured: it uses a DFT-relaxed cell (GGA+U, Alexandria) and λ = 1.5418 Å (Cu Kα).

Peak list (10 most intense, 2θ from 10° to 80°, low angle first)
hkl  2theta  I/Imax
1 0 0  18.17  58.8
0 0 2  18.64  91.3
1 0 1  20.44  48.2
1 0 2  26.15  100.0
1 1 0  31.75  57.3
1 1 2  37.07  97.1
2 0 2  41.58  27.2
1 1 4  50.17  77.6
2 1 2  53.24  27.1
3 0 0  56.56  34.7

```
data_NaTbNiF6
_chemical_formula_sum 'Na2 Tb2 Ni2 F12'
_cell_length_a 5.6368
_cell_length_b 5.6368
_cell_length_c 9.5212
_cell_angle_alpha 90.00
_cell_angle_beta 90.00
_cell_angle_gamma 120.00
_symmetry_space_group_name_H-M 'P -3 1 c'
_symmetry_Int_Tables_number 163
_symmetry_space_group_name_Hall '-P 3 2c'
loop_
_atom_site_label
_atom_site_type_symbol
_atom_site_fract_x
_atom_site_fract_y
_atom_site_fract_z
_atom_site_occupancy
Na1 Na 0.0000 0.0000 0.0000 1
Tb1 Tb 0.3333 0.6667 0.2500 1
Ni1 Ni 0.3333 0.6667 0.7500 1
F1 F 0.0237 0.3666 0.6351 1
```

***

5.
Diffraction record for NaYNiF2. The powder X-ray diffraction pattern is simulated, not measured: it uses a DFT-relaxed cell (GGA+U, Alexandria) and λ = 1.5418 Å (Cu Kα).

Peak list (10 most intense, 2θ from 10° to 80°, low angle first)
hkl  2theta  I/Imax
0 0 1  18.27  40.1
1 0 1  28.64  16.3
1 1 0  31.11  51.6
1 1 1  36.32  100.0
0 0 2  37.03  39.1
2 0 0  44.57  44.7
1 1 2  49.12  29.0
2 0 2  59.29  35.4
3 1 1  76.68  18.8
2 2 2  77.11  15.0

```
data_NaYNiF2
_chemical_formula_sum 'Na1 Y1 Ni1 F2'
_cell_length_a 4.0656
_cell_length_b 4.0656
_cell_length_c 4.8551
_cell_angle_alpha 90.00
_cell_angle_beta 90.00
_cell_angle_gamma 90.00
_symmetry_space_group_name_H-M 'P 4/m m m'
_symmetry_Int_Tables_number 123
_symmetry_space_group_name_Hall '-P 4 2'
loop_
_atom_site_label
_atom_site_type_symbol
_atom_site_fract_x
_atom_site_fract_y
_atom_site_fract_z
_atom_site_occupancy
Na1 Na 0.0000 0.0000 0.0000 1
Y1 Y 0.5000 0.5000 0.5000 1
Ni1 Ni 0.0000 0.0000 0.5000 1
F1 F 0.0000 0.5000 0.0000 1
```

***

6.
Diffraction record for Na3Zn2NiF9. The powder X-ray diffraction pattern is simulated, not measured: it uses a DFT-relaxed cell (GGA+U, Alexandria) and λ = 1.5418 Å (Cu Kα).

Peak list (10 most intense, 2θ from 10° to 80°, low angle first)
hkl  2theta  I/Imax
1 0 1  22.06  97.0
1 1 0  31.40  100.0
0 2 1  38.71  1.2
2 0 2  44.99  73.9
1 1 3  50.65  37.1
3 0 0  55.89  38.3
2 2 0  65.52  40.1
0 1 5  70.03  9.6
1 3 1  70.09  6.3
3 1 2  74.46  15.6

```
data_Na3Zn2NiF9
_chemical_formula_sum 'Na3 Zn2 Ni1 F9'
_cell_length_a 5.6957
_cell_length_b 5.6957
_cell_length_c 6.9870
_cell_angle_alpha 90.00
_cell_angle_beta 90.00
_cell_angle_gamma 120.00
_symmetry_space_group_name_H-M 'P -3 m 1'
_symmetry_Int_Tables_number 164
_symmetry_space_group_name_Hall '-P 3 2"'
loop_
_atom_site_label
_atom_site_type_symbol
_atom_site_fract_x
_atom_site_fract_y
_atom_site_fract_z
_atom_site_occupancy
Na1 Na 0.0000 0.0000 0.0000 1
Na2 Na 0.3333 0.6667 0.6543 1
Zn1 Zn 0.3333 0.6667 0.1672 1
Ni1 Ni 0.0000 0.0000 0.5000 1
F1 F 0.0000 0.5000 0.0000 1
F2 F 0.1664 0.3327 0.3370 1
```